# 1
The following is a calculated XRD peak list of HfScInCo. It was derived from the GGA-PBE geometry in Alexandria, using CuKα.

Top 8 peaks for 10° ≤ 2θ ≤ 80°, in order of falling intensity:
2θ = 37.2°, I 1000, (1 0 2); 2θ = 39.9°, I 469, (1 1 0); 2θ = 12.0°, I 420, (0 0 1); 2θ = 30.5°, I 339, (1 0 1); 2θ = 70.6°, I 290, (2 1 2); 2θ = 57.7°, I 155, (2 0 0); 2θ = 55.1°, I 121, (1 1 3); 2θ = 65.1°, I 121, (1 1 4)

Structural model:
Unit cell a=3.1975 b=3.1975 c=7.4030 alpha=90.00 beta=90.00 gamma=90.00
Space group P4mm (No. 99)
One atom of each set of equivalent atoms:
Hf1 0.0000 0.0000 0.0000 x1
Sc1 0.0000 0.0000 0.4152 x1
In1 0.5000 0.5000 0.7069 x1
Co1 0.5000 0.5000 0.1992 x1

=====

# 2
The following is a calculated XRD peak list of BaFeP. It was derived from the GGA-PBE geometry in Alexandria, using CuKα.

Top 8 peaks for 10° ≤ 2θ ≤ 80°, in order of falling intensity:
2θ = 24.7°, I 1000, (1 0 1); 2θ = 37.5°, I 847, (1 1 2); 2θ = 35.6°, I 545, (1 0 3); 2θ = 29.2°, I 457, (1 0 2); 2θ = 47.0°, I 362, (2 0 0); 2θ = 57.1°, I 352, (1 1 5); 2θ = 26.8°, I 293, (0 0 3); 2θ = 53.8°, I 241, (2 1 1)

Structural model:
Unit cell a=3.8655 b=3.8655 c=9.9809 alpha=90.00 beta=90.00 gamma=90.00
Space group P4/nmm (No. 129, origin choice 2)
One atom of each set of equivalent atoms:
Ba1 0.2500 0.2500 0.2132 x2
Fe1 0.2500 0.7500 0.5000 x2
P1 0.2500 0.2500 0.6105 x2

=====

# 3
The following is a calculated XRD peak list of RbTlAsCl. It was derived from the GGA-PBE geometry in Alexandria, using CuKα.

Top 8 peaks for 10° ≤ 2θ ≤ 80°, in order of falling intensity:
2θ = 25.1°, I 1000, (1 0 1); 2θ = 10.9°, I 509, (0 0 1); 2θ = 39.6°, I 428, (1 1 0); 2θ = 40.5°, I 405, (1 0 3); 2θ = 31.7°, I 349, (1 0 2); 2θ = 21.9°, I 313, (0 0 2); 2θ = 45.7°, I 275, (1 1 2); 2θ = 22.6°, I 274, (1 0 0)

Structural model:
Unit cell a=4.5510 b=4.5510 c=8.0998 alpha=90.00 beta=90.00 gamma=120.00
Space group P3m1 (No. 156)
One atom of each set of equivalent atoms:
Rb1 0.0000 0.0000 0.0000 x1
Tl1 0.3333 0.6667 0.4446 x1
As1 0.6667 0.3333 0.3393 x1
Cl1 0.3333 0.6667 0.7876 x1